Structure and calculated powder diffractogram of VAgBrCl6 (a PBE-relaxed structure; Cu Kα (weighted mean of Kα1 and Kα2)).
Neutral-atom scattering factors, no anomalous dispersion.

The 6 most intense peaks (10° ≤ 2θ ≤ 80°), most intense first:
d (Å)  I_rel  hkl
4.246  100  1 -1 1
5.283  98  1 0 -1
6.349  55  0 0 1
3.048  38  1 1 -2
3.372  37  0 1 -2
3.696  33  0 1 1

Atomic structure:
```
data_VAgBrCl6
_cell_length_a 6.6543
_cell_length_b 6.9996
_cell_length_c 7.0229
_cell_angle_alpha 104.17
_cell_angle_beta 102.77
_cell_angle_gamma 113.93
_space_group_name_H-M_alt 'P 1'
_space_group_IT_number 1
loop_
_space_group_symop_operation_xyz
'x,y,z'
loop_
_atom_site_label
_atom_site_type_symbol
_atom_site_fract_x
_atom_site_fract_y
_atom_site_fract_z
V1 V 0.0000 0.0000 0.0000
Ag1 Ag 0.6595 0.3896 0.9238
Br1 Br 0.3294 0.6607 0.4644
Cl1 Cl 0.2067 0.2105 0.8350
Cl2 Cl 0.3012 0.0819 0.2594
Cl3 Cl 0.6597 0.0026 0.7163
Cl4 Cl 0.7053 0.7964 0.1005
Cl5 Cl 0.9342 0.6760 0.7674
Cl6 Cl 0.9624 0.3242 0.1973
```

Structure and calculated powder diffractogram of Hg2SeBr2 (a PBE-relaxed structure; Cu Kα (weighted mean of Kα1 and Kα2)).
Neutral-atom scattering factors, no anomalous dispersion.

The 6 most intense peaks (10° ≤ 2θ ≤ 80°), most intense first:
d (Å)  I_rel  hkl
3.038  100  2 2 -1
5.834  67  0 1 1
3.417  62  2 1 -2
2.977  44  2 0 2
4.472  35  1 0 -2
1.957  32  4 2 1

Atomic structure:
```
data_Hg2SeBr2
_cell_length_a 10.3137
_cell_length_b 7.7518
_cell_length_c 9.1321
_cell_angle_alpha 90.00
_cell_angle_beta 104.03
_cell_angle_gamma 90.00
_space_group_name_H-M_alt 'P 1 21/c 1'
_space_group_IT_number 14
loop_
_space_group_symop_operation_xyz
'x,y,z'
'-x,-y,-z'
'-x,y+1/2,-z+1/2'
'x,-y+1/2,z+1/2'
loop_
_atom_site_label
_atom_site_type_symbol
_atom_site_fract_x
_atom_site_fract_y
_atom_site_fract_z
Hg1 Hg 0.0037 0.1269 0.2003
Hg2 Hg 0.3250 0.1169 0.9057
Se1 Se 0.1307 0.0903 0.6748
Br1 Br 0.1831 0.6127 0.5985
Br2 Br 0.4881 0.7233 0.3828
```

Structure and calculated powder diffractogram of KNa2AlSb2 (a PBE-relaxed structure; Cu Kα (weighted mean of Kα1 and Kα2)).
Neutral-atom scattering factors, no anomalous dispersion.

The 6 most intense peaks (10° ≤ 2θ ≤ 80°), most intense first:
d (Å)  I_rel  hkl
3.754  100  1 1 1
2.956  93  1 1 2
3.913  81  0 2 1
3.028  63  1 2 1
2.515  51  1 3 0
2.390  43  2 0 0

Atomic structure:
```
data_KNa2AlSb2
_cell_length_a 4.7798
_cell_length_b 8.8719
_cell_length_c 8.3051
_cell_angle_alpha 90.00
_cell_angle_beta 90.00
_cell_angle_gamma 90.00
_space_group_name_H-M_alt 'P m c 21'
_space_group_IT_number 26
loop_
_space_group_symop_operation_xyz
'x,y,z'
'-x,-y,z+1/2'
'-x,y,z'
'x,-y,z+1/2'
loop_
_atom_site_label
_atom_site_type_symbol
_atom_site_fract_x
_atom_site_fract_y
_atom_site_fract_z
K1 K 0.0000 0.0753 0.0000
Na1 Na 0.0000 0.3309 0.3387
Na2 Na 0.5000 0.4223 0.0193
Al1 Al 0.5000 0.1668 0.6371
Sb1 Sb 0.0000 0.3374 0.7080
Sb2 Sb 0.5000 0.1190 0.2954
```

Structure and calculated powder diffractogram of CeAl5Pt3 (a PBE-relaxed structure; Cu Kα (weighted mean of Kα1 and Kα2)).
Neutral-atom scattering factors, no anomalous dispersion.

The 6 most intense peaks (10° ≤ 2θ ≤ 80°), most intense first:
d (Å)  I_rel  hkl
3.239  100  3 0 2
2.721  75  1 1 2
2.069  32  0 2 0
3.465  32  6 0 0
1.954  31  9 0 2
3.197  28  3 1 1

Atomic structure:
```
data_CeAl5Pt3
_cell_length_a 20.7923
_cell_length_b 4.1381
_cell_length_c 7.3311
_cell_angle_alpha 90.00
_cell_angle_beta 90.00
_cell_angle_gamma 90.00
_space_group_name_H-M_alt 'P n m a'
_space_group_IT_number 62
loop_
_space_group_symop_operation_xyz
'x,y,z'
'-x,-y,-z'
'-x+1/2,-y,z+1/2'
'x+1/2,y,-z+1/2'
'x+1/2,-y+1/2,-z+1/2'
'-x+1/2,y+1/2,z+1/2'
'-x,y+1/2,-z'
'x,-y+1/2,z'
loop_
_atom_site_label
_atom_site_type_symbol
_atom_site_fract_x
_atom_site_fract_y
_atom_site_fract_z
Ce1 Ce 0.1406 0.2500 0.1201
Al1 Al 0.0069 0.7500 0.1315
Al2 Al 0.0161 0.2500 0.3851
Al3 Al 0.1180 0.2500 0.6422
Al4 Al 0.2010 0.7500 0.8162
Al5 Al 0.2075 0.7500 0.4306
Pt1 Pt 0.0738 0.7500 0.8410
Pt2 Pt 0.0843 0.7500 0.4182
Pt3 Pt 0.2392 0.2500 0.6221
```

Structure and calculated powder diffractogram of Li2Ti6O13 (a PBE-relaxed structure; Cu Kα (weighted mean of Kα1 and Kα2)).
Neutral-atom scattering factors, no anomalous dispersion.

The 6 most intense peaks (10° ≤ 2θ ≤ 80°), most intense first:
d (Å)  I_rel  hkl
7.661  100  2 0 0
3.669  48  1 1 0
6.417  44  2 0 -1
3.002  22  2 0 -3
3.038  20  3 1 0
1.890  19  0 2 0

Atomic structure:
```
data_Li2Ti6O13
_cell_length_a 15.5399
_cell_length_b 3.7793
_cell_length_c 9.2484
_cell_angle_alpha 90.00
_cell_angle_beta 99.62
_cell_angle_gamma 90.00
_space_group_name_H-M_alt 'C 1 2/m 1'
_space_group_IT_number 12
loop_
_space_group_symop_operation_xyz
'x,y,z'
'-x,-y,-z'
'-x,y,-z'
'x,-y,z'
'x+1/2,y+1/2,z'
'-x+1/2,-y+1/2,-z'
'-x+1/2,y+1/2,-z'
'x+1/2,-y+1/2,z'
loop_
_atom_site_label
_atom_site_type_symbol
_atom_site_fract_x
_atom_site_fract_y
_atom_site_fract_z
Li1 Li 0.0489 0.0000 0.2531
Ti1 Ti 0.1151 0.0000 0.5942
Ti2 Ti 0.1675 0.0000 0.9359
Ti3 Ti 0.2295 0.0000 0.2713
O1 O 0.0000 0.0000 0.5000
O2 O 0.0742 0.0000 0.7878
O3 O 0.1292 0.0000 0.1125
O4 O 0.1467 0.5000 0.6117
O5 O 0.1586 0.0000 0.4048
O6 O 0.2041 0.5000 0.9276
O7 O 0.2391 0.0000 0.7422
```

Structure and calculated powder diffractogram of Cs3Ge2O4 (a PBE-relaxed structure; Cu Kα (weighted mean of Kα1 and Kα2)).
Neutral-atom scattering factors, no anomalous dispersion.

The 6 most intense peaks (10° ≤ 2θ ≤ 80°), most intense first:
d (Å)  I_rel  hkl
2.953  100  3 1 0
3.548  59  0 0 2
2.423  57  3 1 -2
3.344  46  4 0 1
4.164  35  4 0 -1
2.877  34  6 0 0

Atomic structure:
```
data_Cs3Ge2O4
_cell_length_a 17.7965
_cell_length_b 3.4406
_cell_length_c 7.3160
_cell_angle_alpha 90.00
_cell_angle_beta 104.06
_cell_angle_gamma 90.00
_space_group_name_H-M_alt 'C 1 2/m 1'
_space_group_IT_number 12
loop_
_space_group_symop_operation_xyz
'x,y,z'
'-x,-y,-z'
'-x,y,-z'
'x,-y,z'
'x+1/2,y+1/2,z'
'-x+1/2,-y+1/2,-z'
'-x+1/2,y+1/2,-z'
'x+1/2,-y+1/2,z'
loop_
_atom_site_label
_atom_site_type_symbol
_atom_site_fract_x
_atom_site_fract_y
_atom_site_fract_z
Cs1 Cs 0.0000 0.0000 0.0000
Cs2 Cs 0.1481 0.5000 0.5452
Ge1 Ge 0.1935 0.5000 0.0691
O1 O 0.1103 0.5000 0.8853
O2 O 0.1803 0.0000 0.2224
```

Structure and calculated powder diffractogram of NaPmTlO3 (a PBE-relaxed structure; Cu Kα (weighted mean of Kα1 and Kα2)).
Neutral-atom scattering factors, no anomalous dispersion.

The 6 most intense peaks (10° ≤ 2θ ≤ 80°), most intense first:
d (Å)  I_rel  hkl
5.266  100  1 0 1
2.993  59  1 1 -1
2.445  51  2 1 0
2.794  39  0 1 2
2.776  25  2 0 -2
2.811  19  1 0 -3

Atomic structure:
```
data_NaPmTlO3
_cell_length_a 6.7479
_cell_length_b 3.5536
_cell_length_c 9.0592
_cell_angle_alpha 90.00
_cell_angle_beta 93.17
_cell_angle_gamma 90.00
_space_group_name_H-M_alt 'P 1 21/m 1'
_space_group_IT_number 11
loop_
_space_group_symop_operation_xyz
'x,y,z'
'-x,-y,-z'
'-x,y+1/2,-z'
'x,-y+1/2,z'
loop_
_atom_site_label
_atom_site_type_symbol
_atom_site_fract_x
_atom_site_fract_y
_atom_site_fract_z
Na1 Na 0.1049 0.2500 0.3821
Pm1 Pm 0.4033 0.7500 0.6521
Tl1 Tl 0.1623 0.2500 0.9224
O1 O 0.1553 0.2500 0.6574
O2 O 0.3502 0.7500 0.9102
O3 O 0.3779 0.7500 0.3901
```

Structure and calculated powder diffractogram of Er3Si3Pt2 (a PBE-relaxed structure; Cu Kα (weighted mean of Kα1 and Kα2)).
Neutral-atom scattering factors, no anomalous dispersion.

The 6 most intense peaks (10° ≤ 2θ ≤ 80°), most intense first:
d (Å)  I_rel  hkl
2.378  100  2 4 1
2.603  98  1 1 2
2.308  95  1 3 2
2.625  72  2 4 0
3.280  53  1 3 1
1.604  48  1 7 2

Atomic structure:
```
data_Er3Si3Pt2
_cell_length_a 7.8590
_cell_length_b 14.1132
_cell_length_c 5.6268
_cell_angle_alpha 90.00
_cell_angle_beta 90.00
_cell_angle_gamma 90.00
_space_group_name_H-M_alt 'P n m a'
_space_group_IT_number 62
loop_
_space_group_symop_operation_xyz
'x,y,z'
'-x,-y,-z'
'-x+1/2,-y,z+1/2'
'x+1/2,y,-z+1/2'
'x+1/2,-y+1/2,-z+1/2'
'-x+1/2,y+1/2,z+1/2'
'-x,y+1/2,-z'
'x,-y+1/2,z'
loop_
_atom_site_label
_atom_site_type_symbol
_atom_site_fract_x
_atom_site_fract_y
_atom_site_fract_z
Er1 Er 0.0388 0.1113 0.1287
Er2 Er 0.1847 0.2500 0.6198
Si1 Si 0.1748 0.7500 0.6087
Si2 Si 0.1924 0.0400 0.6049
Pt1 Pt 0.0956 0.6037 0.3721
```

Structure and calculated powder diffractogram of LiS4 (a PBE-relaxed structure; Cu Kα (weighted mean of Kα1 and Kα2)).
Neutral-atom scattering factors, no anomalous dispersion.

The 6 most intense peaks (10° ≤ 2θ ≤ 80°), most intense first:
d (Å)  I_rel  hkl
3.264  100  1 0 0
3.253  60  1 1 1
4.067  46  0 1 0
1.859  38  0 2 -1
3.136  33  1 1 0
2.351  32  0 1 3

Atomic structure:
```
data_LiS4
_cell_length_a 3.5743
_cell_length_b 4.5334
_cell_length_c 7.7805
_cell_angle_alpha 73.26
_cell_angle_beta 76.89
_cell_angle_gamma 66.94
_space_group_name_H-M_alt 'P -1'
_space_group_IT_number 2
loop_
_space_group_symop_operation_xyz
'x,y,z'
'-x,-y,-z'
loop_
_atom_site_label
_atom_site_type_symbol
_atom_site_fract_x
_atom_site_fract_y
_atom_site_fract_z
Li1 Li 0.0000 0.0000 0.0000
S1 S 0.3736 0.4161 0.8387
S2 S 0.4408 0.7183 0.4004
```

Structure and calculated powder diffractogram of Tm4CoBi2 (a PBE-relaxed structure; Cu Kα (weighted mean of Kα1 and Kα2)).
Neutral-atom scattering factors, no anomalous dispersion.

The 6 most intense peaks (10° ≤ 2θ ≤ 80°), most intense first:
d (Å)  I_rel  hkl
2.803  100  2 1 1
2.794  66  1 4 0
2.730  63  1 3 1
2.132  33  0 0 2
2.392  32  3 2 0
1.695  30  1 4 2

Atomic structure:
```
data_Tm4CoBi2
_cell_length_a 7.8293
_cell_length_b 11.9660
_cell_length_c 4.2638
_cell_angle_alpha 90.00
_cell_angle_beta 90.00
_cell_angle_gamma 90.00
_space_group_name_H-M_alt 'P b a m'
_space_group_IT_number 55
loop_
_space_group_symop_operation_xyz
'x,y,z'
'-x,-y,-z'
'-x,-y,z'
'x,y,-z'
'x+1/2,-y+1/2,-z'
'-x+1/2,y+1/2,z'
'-x+1/2,y+1/2,-z'
'x+1/2,-y+1/2,z'
loop_
_atom_site_label
_atom_site_type_symbol
_atom_site_fract_x
_atom_site_fract_y
_atom_site_fract_z
Tm1 Tm 0.1217 0.1891 0.0000
Tm2 Tm 0.2061 0.9412 0.5000
Co1 Co 0.0000 0.0000 0.0000
Bi1 Bi 0.0800 0.6696 0.5000
```

Structure and calculated powder diffractogram of SbCl3F2 (a PBE-relaxed structure; Cu Kα (weighted mean of Kα1 and Kα2)).
Neutral-atom scattering factors, no anomalous dispersion.

The 6 most intense peaks (10° ≤ 2θ ≤ 80°), most intense first:
d (Å)  I_rel  hkl
6.473  100  1 0 1
4.776  45  2 2 0
4.673  42  2 1 1
3.340  41  3 2 1
3.688  27  0 0 2
4.272  27  3 1 0

Atomic structure:
```
data_SbCl3F2
_cell_length_a 13.5079
_cell_length_b 13.5079
_cell_length_c 7.3753
_cell_angle_alpha 90.00
_cell_angle_beta 90.00
_cell_angle_gamma 90.00
_space_group_name_H-M_alt 'I -4'
_space_group_IT_number 82
loop_
_space_group_symop_operation_xyz
'x,y,z'
'y,-x,-z'
'-x,-y,z'
'-y,x,-z'
'x+1/2,y+1/2,z+1/2'
'y+1/2,-x+1/2,-z+1/2'
'-x+1/2,-y+1/2,z+1/2'
'-y+1/2,x+1/2,-z+1/2'
loop_
_atom_site_label
_atom_site_type_symbol
_atom_site_fract_x
_atom_site_fract_y
_atom_site_fract_z
Sb1 Sb 0.0445 0.2156 0.0129
Cl1 Cl 0.0369 0.1869 0.3227
Cl2 Cl 0.0609 0.6489 0.9981
Cl3 Cl 0.1958 0.2965 0.0030
F1 F 0.0414 0.1945 0.7573
F2 F 0.0775 0.8817 0.9979
```